(1)
The following is a computed powder diffractogram of Na2MnO2. It was derived from a cell relaxed with PBE+U, using Cu Kα X-rays.

Principal peaks in the range 2θ from 10° to 90°, in order of rising 2θ:
| Position (°2θ) | intensity |
| --- | --- |
| 18.18 | 949 |
| 19.91 | 601 |
| 33.84 | 1000 |
| 36.17 | 428 |
| 36.83 | 169 |
| 37.02 | 982 |
| 37.95 | 341 |
| 44.89 | 268 |
| 46.53 | 176 |
| 49.55 | 356 |
| 52.46 | 430 |
| 54.01 | 242 |

Atomic structure:
Cell: 6.019 6.019 6.019 Å, 122.05 84.38 124.56°
Atoms (fractional coordinates):
Na  0.153  0.104  0.257
Na  0.347  0.604  0.951
Na  0.653  0.396  0.049
Na  0.847  0.896  0.743
Mn  0.250  0.750  0.500
Mn  0.750  0.250  0.500
O  0.100  0.718  0.818
O  0.400  0.218  0.617
O  0.600  0.782  0.383
O  0.900  0.282  0.182


(2)
The following is a computed powder diffractogram of Na7Mn11O24. It was derived from a cell relaxed with PBE+U, using Cu Kα X-rays.

Principal peaks in the range 2θ from 10° to 90°, in order of rising 2θ:
| Position (°2θ) | intensity |
| --- | --- |
| 17.43 | 666 |
| 17.79 | 1000 |
| 33.67 | 244 |
| 34.05 | 396 |
| 34.24 | 353 |
| 34.80 | 257 |
| 35.03 | 142 |
| 41.14 | 310 |
| 41.24 | 321 |
| 42.46 | 284 |
| 60.07 | 262 |
| 61.18 | 301 |

Atomic structure:
Cell: 6.062 8.758 10.520 Å, 113.49 105.15 90.02°
Atoms (fractional coordinates):
Na  0.000  0.000  0.000
Na  0.081  0.718  0.162
Na  0.255  0.647  0.519
Na  0.421  0.038  0.846
Na  0.579  0.962  0.154
Na  0.745  0.353  0.481
Na  0.919  0.282  0.838
Mn  0.000  0.000  0.500
Mn  0.157  0.652  0.816
Mn  0.169  0.187  0.350
Mn  0.339  0.346  0.184
Mn  0.344  0.326  0.673
Mn  0.500  0.000  0.500
Mn  0.500  0.500  0.000
Mn  0.656  0.674  0.327
Mn  0.661  0.654  0.816
Mn  0.831  0.813  0.650
Mn  0.843  0.348  0.184
O  0.033  0.285  0.056
O  0.053  0.241  0.524
O  0.126  0.850  0.784
O  0.151  0.967  0.351
O  0.158  0.407  0.327
O  0.213  0.432  0.837
O  0.328  0.143  0.208
O  0.346  0.553  0.681
O  0.357  0.098  0.655
O  0.370  0.567  0.169
O  0.460  0.235  0.505
O  0.470  0.730  0.949
O  0.530  0.270  0.051
O  0.540  0.765  0.495
O  0.630  0.433  0.831
O  0.643  0.902  0.345
O  0.654  0.447  0.319
O  0.672  0.857  0.792
O  0.787  0.568  0.163
O  0.842  0.593  0.673
O  0.849  0.033  0.649
O  0.874  0.150  0.216
O  0.947  0.759  0.476
O  0.967  0.715  0.944


(3)
The following is a computed powder diffractogram of NaMn2O4. It was derived from a cell relaxed with PBE+U, using Cu Kα X-rays.

Principal peaks in the range 2θ from 10° to 90°, in order of rising 2θ:
| Position (°2θ) | intensity |
| --- | --- |
| 17.68 | 1000 |
| 32.77 | 358 |
| 34.86 | 302 |
| 35.02 | 311 |
| 35.80 | 163 |
| 39.08 | 210 |
| 42.65 | 189 |
| 42.91 | 182 |
| 51.90 | 151 |
| 59.22 | 177 |
| 59.43 | 179 |
| 62.10 | 167 |

Atomic structure:
Cell: 6.263 6.263 8.430 Å, 90.00 90.00 94.78°
Atoms (fractional coordinates):
Na  0.245  0.755  0.750
Na  0.273  0.273  0.500
Na  0.727  0.727  0.000
Na  0.755  0.245  0.250
Mn  0.009  0.239  0.872
Mn  0.236  0.509  0.123
Mn  0.239  0.009  0.128
Mn  0.491  0.764  0.377
Mn  0.509  0.236  0.877
Mn  0.761  0.991  0.628
Mn  0.764  0.491  0.623
Mn  0.991  0.761  0.372
O  0.014  0.776  0.147
O  0.043  0.240  0.107
O  0.223  0.564  0.360
O  0.224  0.986  0.353
O  0.240  0.043  0.893
O  0.240  0.465  0.893
O  0.436  0.777  0.140
O  0.465  0.240  0.107
O  0.535  0.760  0.607
O  0.564  0.223  0.640
O  0.760  0.535  0.393
O  0.760  0.957  0.393
O  0.776  0.014  0.853
O  0.777  0.436  0.860
O  0.957  0.760  0.607
O  0.986  0.224  0.647